Computed XRD peak list of MoI for Cu Kα X-rays, from DFT lattice parameters and positions (PBE).

Crystal structure
Cell: 11.3785 11.3785 3.4049 Å, 90.00 90.00 90.00°
Space group P4/m (No. 83)
Asymmetric unit:
Mo 0.0733 0.3871 0.0000 (multiplicity 4)
Mo 0.0892 0.5922 0.5000 (multiplicity 4)
I 0.1706 0.1983 0.5000 (multiplicity 4)
I 0.2826 0.5149 0.0000 (multiplicity 4)

Largest 8 diffraction maxima, by angle, 2θ from 10° to 80°:
Position (°2θ)  I (rel.)
11.0  100
27.3  40
28.3  91
31.6  35
34.5  46
38.9  99
40.4  61
48.1  37